Record 1
The following is a computed X-ray powder pattern of La3SiBr3. It was derived from a crystal structure in the Materials Project, relaxed with GGA-PBE, using Cu Kα, 1.54184 Å.
Peak positions follow from Bragg's law for the DFT cell and can differ from measured ones.

Most intense lines, 10 to 90 degrees two-theta, in order of rising 2θ:
(hkl)  two_theta  intensity
1 1 0  10.2  15
2 1 1  17.7  15
3 2 1  27.2  28
4 0 0  29.1  100
3 3 2  34.2  14
4 4 0  41.6  73
4 4 4  51.5  25
8 0 0  60.2  11
8 4 0  68.3  30
8 4 4  75.9  22

Cell and atoms:
```
data_La3SiBr3
_cell_length_a 12.289
_cell_length_b 12.289
_cell_length_c 12.289
_cell_angle_alpha 90.00
_cell_angle_beta 90.00
_cell_angle_gamma 90.00
_symmetry_space_group_name_H-M 'I 41 3 2'
_symmetry_Int_Tables_number 214
_symmetry_space_group_name_Hall 'I 4bd 2c 3'
loop_
_atom_site_label
_atom_site_fract_x
_atom_site_fract_y
_atom_site_fract_z
La1 0.115 0.365 0.125
Si1 0.125 0.125 0.125
Br1 0.121 0.129 0.625
```


Record 2
The following is a computed X-ray powder pattern of ScCdNi4. It was derived from a crystal structure in the Materials Project, relaxed with GGA-PBE, using Cu Kα, 1.54184 Å.
Peak positions follow from Bragg's law for the DFT cell and can differ from measured ones.

Most intense lines, 10 to 90 degrees two-theta, in order of rising 2θ:
(hkl)  two_theta  intensity
1 1 1  22.3  9
2 0 0  25.8  7
2 2 0  36.8  33
3 1 1  43.4  100
2 2 2  45.5  34
4 2 0  59.9  3
4 2 2  66.3  11
3 3 3  70.9  28
4 4 0  78.3  22
6 2 0  89.8  5

Cell and atoms:
```
data_ScCdNi4
_cell_length_a 6.910
_cell_length_b 6.910
_cell_length_c 6.910
_cell_angle_alpha 90.00
_cell_angle_beta 90.00
_cell_angle_gamma 90.00
_symmetry_space_group_name_H-M 'F -4 3 m'
_symmetry_Int_Tables_number 216
_symmetry_space_group_name_Hall 'F -4 2 3'
loop_
_atom_site_label
_atom_site_fract_x
_atom_site_fract_y
_atom_site_fract_z
Sc1 0.000 0.000 0.000
Cd1 0.250 0.250 0.750
Ni1 0.124 0.124 0.376
```


Record 3
The following is a computed X-ray powder pattern of LiCuO2. It was derived from a crystal structure in the Materials Project, relaxed with GGA-PBE, using Cu Kα, 1.54184 Å.
Peak positions follow from Bragg's law for the DFT cell and can differ from measured ones.

Most intense lines, 10 to 90 degrees two-theta, in order of rising 2θ:
(hkl)  two_theta  intensity
1 0 0  17.7  100
1 0 -1  19.5  17
0 0 2  27.4  63
1 0 -2  28.8  64
0 2 0  35.1  10
2 0 -2  39.7  12
1 2 0  44.4  19
2 -2 1  44.7  19
-3 2 1  56.1  11
1 2 2  59.7  11

Cell and atoms:
```
data_LiCuO2
_cell_length_a 5.364
_cell_length_b 5.450
_cell_length_c 6.796
_cell_angle_alpha 99.01
_cell_angle_beta 101.07
_cell_angle_gamma 105.51
_symmetry_space_group_name_H-M 'P 1'
_symmetry_Int_Tables_number 1
loop_
_symmetry_equiv_pos_as_xyz
'x,y,z'
loop_
_atom_site_label
_atom_site_fract_x
_atom_site_fract_y
_atom_site_fract_z
Li1 0.000 0.000 0.000
Li2 0.003 0.511 0.019
Li3 0.056 0.828 0.427
Li4 0.156 0.267 0.722
Cu1 0.526 0.668 0.129
Cu2 0.533 0.170 0.132
Cu3 0.618 0.057 0.615
Cu4 0.621 0.558 0.611
O1 0.283 0.844 0.063
O2 0.285 0.332 0.027
O3 0.372 0.226 0.536
O4 0.391 0.726 0.503
O5 0.777 0.503 0.204
O6 0.777 0.992 0.200
O7 0.848 0.390 0.729
O8 0.873 0.892 0.687
```


Record 4
The following is a computed X-ray powder pattern of LuInO6. It was derived from a crystal structure in the Materials Project, relaxed with GGA-PBE, using Cu Kα, 1.54184 Å.
Peak positions follow from Bragg's law for the DFT cell and can differ from measured ones.

Most intense lines, 10 to 90 degrees two-theta, in order of rising 2θ:
(hkl)  two_theta  intensity
0 2 0  24.0  100
2 0 -2  24.1  50
0 0 2  33.7  21
2 2 0  34.2  85
4 0 -2  34.8  21
0 2 2  41.8  32
4 2 -2  42.7  29
0 4 0  49.1  17
2 4 0  55.4  37
4 2 -4  55.6  16

Cell and atoms:
```
data_LuInO6
_cell_length_a 10.315
_cell_length_b 7.414
_cell_length_c 7.386
_cell_angle_alpha 90.00
_cell_angle_beta 133.99
_cell_angle_gamma 90.00
_symmetry_space_group_name_H-M 'C 1 2/m 1'
_symmetry_Int_Tables_number 12
loop_
_symmetry_equiv_pos_as_xyz
'x,y,z'
'-x,-y,-z'
'-x,y,-z'
'x,-y,z'
'x+1/2,y+1/2,z'
'-x+1/2,-y+1/2,-z'
'-x+1/2,y+1/2,-z'
'x+1/2,-y+1/2,z'
loop_
_atom_site_label
_atom_site_fract_x
_atom_site_fract_y
_atom_site_fract_z
Lu1 0.250 0.250 0.000
In1 0.250 0.250 0.500
O1 0.003 0.100 0.184
O2 0.099 0.319 0.603
O3 0.169 0.500 0.272
O4 0.190 0.500 0.095
```


Record 5
The following is a computed X-ray powder pattern of TmNiSb. It was derived from a crystal structure in the Materials Project, relaxed with GGA-PBE, using Cu Kα, 1.54184 Å.
Peak positions follow from Bragg's law for the DFT cell and can differ from measured ones.

Most intense lines, 10 to 90 degrees two-theta, in order of rising 2θ:
(hkl)  two_theta  intensity
1 1 1  24.5  13
2 0 0  28.4  52
2 2 0  40.6  100
3 1 1  48.0  6
2 2 2  50.2  15
4 0 0  58.7  17
3 3 1  64.6  3
4 2 0  66.5  19
4 2 2  73.8  33
4 4 0  87.8  11

Cell and atoms:
```
data_TmNiSb
_cell_length_a 6.292
_cell_length_b 6.292
_cell_length_c 6.292
_cell_angle_alpha 90.00
_cell_angle_beta 90.00
_cell_angle_gamma 90.00
_symmetry_space_group_name_H-M 'F -4 3 m'
_symmetry_Int_Tables_number 216
_symmetry_space_group_name_Hall 'F -4 2 3'
loop_
_atom_site_label
_atom_site_fract_x
_atom_site_fract_y
_atom_site_fract_z
Tm1 0.000 0.000 0.000
Ni1 0.250 0.250 0.250
Sb1 0.000 0.000 0.500
```


Record 6
The following is a computed X-ray powder pattern of SrCuGe. It was derived from a crystal structure in the Materials Project, relaxed with GGA-PBE, using Cu Kα, 1.54184 Å.
Peak positions follow from Bragg's law for the DFT cell and can differ from measured ones.

Most intense lines, 10 to 90 degrees two-theta, in order of rising 2θ:
(hkl)  two_theta  intensity
0 0 1  19.4  7
1 0 1  31.3  100
0 0 2  39.3  19
1 1 0  42.8  44
2 0 1  54.0  21
1 1 2  59.6  32
1 0 3  66.4  11
2 1 1  71.3  18
3 0 0  78.5  7
2 0 3  82.3  6

Cell and atoms:
```
data_SrCuGe
_cell_length_a 4.2224
_cell_length_b 4.2224
_cell_length_c 4.5799
_cell_angle_alpha 90.00
_cell_angle_beta 90.00
_cell_angle_gamma 120.00
_symmetry_space_group_name_H-M 'P -6 m 2'
_symmetry_Int_Tables_number 187
_symmetry_space_group_name_Hall 'P -6 2'
loop_
_atom_site_label
_atom_site_fract_x
_atom_site_fract_y
_atom_site_fract_z
Sr1 0.0000 0.0000 0.0000
Cu1 0.3333 0.6667 0.5000
Ge1 0.6667 0.3333 0.5000
```


Record 7
The following is a computed X-ray powder pattern of Li27Sb10. It was derived from a crystal structure in the Materials Project, relaxed with GGA-PBE, using Cu Kα, 1.54184 Å.
Peak positions follow from Bragg's law for the DFT cell and can differ from measured ones.

Most intense lines, 10 to 90 degrees two-theta, in order of rising 2θ:
(hkl)  two_theta  intensity
2 0 0  23.6  100
1 5 1  27.2  34
2 0 -2  27.6  16
2 0 2  38.9  18
3 5 -1  39.2  34
3 5 1  46.0  33
4 0 -2  46.5  15
4 0 0  48.4  10
4 0 2  61.8  7
4 10 -2  62.2  9

Cell and atoms:
```
data_Li27Sb10
_cell_length_a 7.941
_cell_length_b 23.149
_cell_length_c 7.955
_cell_angle_alpha 90.00
_cell_angle_beta 108.69
_cell_angle_gamma 90.00
_symmetry_space_group_name_H-M 'C 1 2/m 1'
_symmetry_Int_Tables_number 12
loop_
_symmetry_equiv_pos_as_xyz
'x,y,z'
'-x,-y,-z'
'-x,y,-z'
'x,-y,z'
'x+1/2,y+1/2,z'
'-x+1/2,-y+1/2,-z'
'-x+1/2,y+1/2,-z'
'x+1/2,-y+1/2,z'
loop_
_atom_site_label
_atom_site_fract_x
_atom_site_fract_y
_atom_site_fract_z
Li1 0.000 0.000 0.000
Li2 0.000 0.102 0.500
Li3 0.000 0.300 0.500
Li4 0.000 0.399 0.000
Li5 0.118 0.105 0.881
Li6 0.118 0.200 0.356
Li7 0.118 0.500 0.855
Li8 0.120 0.406 0.383
Li9 0.138 0.295 0.886
Li10 0.146 0.000 0.383
Sb1 0.239 0.000 0.760
Sb2 0.245 0.304 0.265
Sb3 0.248 0.399 0.752
```